Starting from a GGA-PBE-relaxed structure, the XRD peak list of La11Pm9Sm4 was computed for Cu Kα (weighted mean of Kα1 and Kα2).
Intensities are scaled so that the largest is 100.

Atomic structure:
```
data_La11Pm9Sm4
_chemical_formula_sum 'La22 Pm18 Sm8'
_cell_length_a 17.447
_cell_length_b 26.323
_cell_length_c 3.753
_cell_angle_alpha 90.00
_cell_angle_beta 90.00
_cell_angle_gamma 90.00
_space_group_name_H-M_alt 'C m m m'
_space_group_IT_number 65
_space_group_name_Hall '-C 2 2'
loop_
_atom_site_label
_atom_site_type_symbol
_atom_site_fract_x
_atom_site_fract_y
_atom_site_fract_z
La1 La 0.000 0.000 0.000
La2 La 0.000 0.160 0.000
La3 La 0.000 0.368 0.000
La4 La 0.208 0.500 0.000
La5 La 0.225 0.181 0.000
Pm1 Pm 0.000 0.500 0.500
Pm2 Pm 0.102 0.266 0.500
Pm3 Pm 0.139 0.073 0.500
Sm1 Sm 0.157 0.399 0.500
```

Top 10 peaks for 2θ from 15° to 90°, sorted by position:
- 2θ = 28.9°, intensity 53, (4 6 0)
- 2θ = 29.2°, intensity 18, (2 4 1)
- 2θ = 30.1°, intensity 18, (3 3 1)
- 2θ = 31.0°, intensity 15, (1 9 0)
- 2θ = 31.4°, intensity 100, (4 0 1)
- 2θ = 31.5°, intensity 10, (6 2 0)
- 2θ = 48.5°, intensity 13, (0 0 2)
- 2θ = 57.4°, intensity 17, (4 6 2)
- 2θ = 58.7°, intensity 12, (7 13 0)
- 2θ = 79.7°, intensity 9, (4 0 3)